The following is a calculated X-ray powder pattern of CdAg4Sn2. It was derived from DFT lattice parameters and positions (PBE), using Cu Kα, 1.54184 Å.
Lines closer than 0.1° are merged.

Principal peaks in the range 5 to 70 degrees two-theta, in order of rising 2θ:
- 25.77°, intensity 24, (0 1 1)
- 33.35°, intensity 48, (-1 1 2)
- 33.53°, intensity 100, (2 -1 1)
- 39.80°, intensity 99, (2 -3 0)
- 39.90°, intensity 49, (2 1 0)
- 48.13°, intensity 17, (1 -1 3)
- 50.56°, intensity 16, (2 1 -4)
- 53.04°, intensity 19, (2 2 0)
- 68.37°, intensity 15, (2 -3 4)
- 68.43°, intensity 12, (2 -3 4)

```
CdAg4Sn2
1.0
7.332 0.000 0.000
-2.463 6.906 0.000
-2.464 -3.433 5.993
Cd Ag Sn
2 8 4
direct
0.000 0.000 0.000 Cd
0.499 0.250 0.749 Cd
0.074 0.196 0.445 Ag
0.249 0.878 0.803 Ag
0.251 0.878 0.303 Ag
0.424 0.372 0.121 Ag
0.575 0.697 0.948 Ag
0.748 0.051 0.627 Ag
0.750 0.554 0.629 Ag
0.924 0.370 0.121 Ag
0.122 0.498 0.873 Sn
0.374 0.624 0.501 Sn
0.623 0.126 0.249 Sn
0.876 0.750 0.374 Sn
```